FeCuAu: simulated powder X-ray diffraction pattern (copper Kα), based on a GGA-PBE-relaxed structure.
Intensities are scaled so that the largest is 100.

Structure:
```
FeCuAu
1.0
2.806 0.000 0.000
0.000 3.704 0.000
0.000 0.000 8.210
Fe Cu Au
2 2 2
Direct
0.000 0.000 0.000 Fe
0.500 0.500 0.500 Fe
0.000 0.000 0.345 Cu
0.500 0.500 0.845 Cu
0.000 0.000 0.673 Au
0.500 0.500 0.173 Au
```

Principal peaks in the range 2θ = 10–90°, sorted by position:
| d_spacing | Position (°2θ) | I (rel.) | hkl |
| --- | --- | --- | --- |
| 4.105 | 21.65 | 34.8 | 0 0 2 |
| 3.376 | 26.40 | 53.3 | 0 1 1 |
| 2.655 | 33.76 | 29.1 | 1 0 1 |
| 2.236 | 40.33 | 100.0 | 1 1 0 |
| 2.201 | 41.01 | 94.9 | 0 1 3 |
| 1.959 | 46.35 | 66.4 | 1 0 3 |
| 1.852 | 49.20 | 27.9 | 0 2 0 |
| 1.346 | 69.90 | 37.8 | 1 2 3 |